Theoretical X-ray powder pattern
Compound: Pm3SiIr2
Radiation: Cu Ka
Structure: a cell relaxed with GGA-PBE
Peak positions follow from Bragg's law for the DFT cell and can differ from measured ones.

Structural model:
abc: 11.660 4.022 12.293
angles: 90.00 90.00 90.00
Space group Pnma (No. 62)
Asymmetric unit:
Pm (0.061, 0.250, 0.116) (multiplicity 4)
Pm (0.129, 0.750, 0.553) (multiplicity 4)
Pm (0.195, 0.250, 0.803) (multiplicity 4)
Si (0.124, 0.250, 0.358) (multiplicity 4)
Ir (0.026, 0.750, 0.317) (multiplicity 4)
Ir (0.193, 0.750, 0.974) (multiplicity 4)

Principal peaks in the range 2θ = 10–90°, most intense first:
31.2 deg, I = 100
32.9 deg, I = 83
41.0 deg, I = 63
30.7 deg, I = 61
31.5 deg, I = 58
45.1 deg, I = 56
35.3 deg, I = 54
32.1 deg, I = 52
27.6 deg, I = 38
43.6 deg, I = 35